Simulated PXRD pattern of RbRu2O6 for copper Kα, from the PBE geometry in Alexandria.
Lines closer than 0.1° are merged.

Most intense lines, 2θ = 10–90°, low angle first:
Position (°2θ)	Rel. int.
15.05	29
24.69	13
29.04	100
30.36	44
46.25	31
50.63	39
59.42	14
60.18	18
70.98	23
81.78	9

Structural model:
```
RbRu2O6
1.0
0.000 5.100 5.100
5.100 0.000 5.100
5.100 5.100 0.000
Rb Ru O
2 4 12
Cartesian
1.275 1.275 1.275
8.924 8.924 8.924
5.100 2.550 2.550
2.550 5.100 2.550
2.550 2.550 5.100
5.100 5.100 5.100
3.825 3.825 1.877
3.825 1.877 3.825
5.773 3.825 3.825
6.375 6.375 4.427
6.375 4.427 6.375
8.322 6.375 6.375
1.877 3.825 3.825
3.825 5.773 3.825
3.825 3.825 5.773
4.427 6.375 6.375
6.375 8.322 6.375
6.375 6.375 8.322
```

***

Simulated PXRD pattern of Rb2RuO6 for copper Kα, from the PBE geometry in Alexandria.
Lines closer than 0.1° are merged.

Most intense lines, 2θ = 10–90°, low angle first:
Position (°2θ)	Rel. int.
15.06	25
26.23	99
26.72	100
37.79	43
46.28	25
46.59	53
52.62	38
61.23	19
66.35	16
73.79	16

Structural model:
```
Rb2RuO6
1.0
6.795 0.000 0.000
-3.398 5.885 0.000
0.000 0.000 4.050
Rb Ru O
2 1 6
Cartesian
0.000 3.923 0.000
3.398 1.962 0.000
0.000 0.000 2.025
-0.768 1.330 3.113
-2.630 4.555 0.937
1.536 0.000 3.113
0.768 1.330 0.937
5.259 0.000 0.937
2.630 4.555 3.113
```

***

Simulated PXRD pattern of RbRu2O7 for copper Kα, from the PBE geometry in Alexandria.
Lines closer than 0.1° are merged.

Most intense lines, 2θ = 10–90°, low angle first:
Position (°2θ)	Rel. int.
16.85	20
23.33	29
28.82	100
28.92	52
29.27	73
41.32	27
47.70	21
51.41	24
51.77	30
56.95	22

Structural model:
```
RbRu2O7
1.0
3.093 -5.261 0.000
3.093 5.261 0.000
0.000 0.000 3.814
Rb Ru O
1 2 7
Cartesian
0.000 0.000 0.000
3.093 1.999 1.907
3.093 -1.999 1.907
1.147 1.608 1.907
3.093 2.004 0.000
1.147 -1.608 1.907
3.093 0.000 1.907
5.038 1.608 1.907
3.093 -2.004 0.000
5.038 -1.608 1.907
```

***

Simulated PXRD pattern of Rb2RuO4 for copper Kα, from the PBE geometry in Alexandria.
Lines closer than 0.1° are merged.

Most intense lines, 2θ = 10–90°, low angle first:
Position (°2θ)	Rel. int.
16.37	100
26.73	52
26.89	67
27.04	66
37.95	13
38.38	13
47.21	25
47.49	25
47.77	30
61.99	13

Structural model:
```
Rb2RuO4
1.0
0.000 4.742 4.638
4.690 0.000 4.638
4.690 4.742 0.000
Rb Ru O
2 1 4
Cartesian
2.345 2.371 0.000
2.345 2.371 4.638
4.690 4.742 2.331
6.172 4.742 3.352
4.690 1.485 5.952
3.208 4.742 3.352
4.690 7.999 5.952
```

***

Simulated PXRD pattern of Rb5RuO5 for copper Kα, from the PBE geometry in Alexandria.
Lines closer than 0.1° are merged.

Most intense lines, 2θ = 10–90°, low angle first:
Position (°2θ)	Rel. int.
12.44	17
28.23	100
28.99	84
33.00	44
33.15	56
33.33	47
47.48	30
47.73	33
56.06	17
56.26	15

Structural model:
```
Rb5RuO5
1.0
6.156 -2.702 0.000
6.156 2.702 0.000
-2.352 0.000 7.117
Rb Ru O
5 1 5
Cartesian
0.000 0.000 0.000
3.514 0.000 1.440
2.512 0.000 4.687
7.448 0.000 2.430
6.446 0.000 5.678
-1.176 0.000 3.559
-0.307 0.000 5.314
0.573 0.000 2.682
4.980 0.000 3.559
9.386 0.000 4.435
10.267 0.000 1.803
```

***

Simulated PXRD pattern of Rb2SbRuO6 for copper Kα, from the PBE geometry in Alexandria.
Lines closer than 0.1° are merged.

Most intense lines, 2θ = 10–90°, low angle first:
Position (°2θ)	Rel. int.
21.88	7
31.14	100
38.38	1
44.61	33
50.22	3
55.41	39
64.93	20
69.41	1
73.76	17
82.21	7

Structural model:
```
Rb2SbRuO6
1.0
0.000 4.062 4.062
4.062 0.000 4.062
4.062 4.062 0.000
Rb Sb Ru O
2 1 1 6
Cartesian
2.031 2.031 2.031
6.093 6.093 6.093
0.000 0.000 0.000
4.062 4.062 4.062
4.062 4.062 2.051
4.062 2.051 4.062
6.073 4.062 4.062
2.051 4.062 4.062
4.062 6.073 4.062
4.062 4.062 6.073
```

***

Simulated PXRD pattern of RbSbRuO6 for copper Kα, from the PBE geometry in Alexandria.
Lines closer than 0.1° are merged.

Most intense lines, 2θ = 10–90°, low angle first:
Position (°2θ)	Rel. int.
13.94	100
23.45	66
23.69	75
24.19	74
28.10	33
33.15	50
34.22	22
43.71	47
44.28	37
45.41	22

Structural model:
```
RbSbRuO6
1.0
2.621 -4.731 0.000
2.621 4.731 0.000
-0.156 0.000 6.351
Rb Sb Ru O
1 1 1 6
Cartesian
0.000 0.000 0.000
2.543 1.537 3.176
2.543 -1.535 3.176
1.935 -0.072 4.272
1.078 -1.930 2.035
1.515 -2.840 4.315
3.151 -0.072 2.079
4.008 -1.930 4.317
3.571 -2.840 2.037
```

***

Simulated PXRD pattern of RbSm2RuO8 for copper Kα, from the PBE geometry in Alexandria.
Lines closer than 0.1° are merged.

Most intense lines, 2θ = 10–90°, low angle first:
Position (°2θ)	Rel. int.
12.07	44
26.80	59
27.48	100
29.84	58
34.58	39
36.77	16
40.80	20
44.35	24
45.14	20
47.66	18

Structural model:
```
RbSm2RuO8
1.0
4.416 0.000 0.000
0.126 5.187 0.000
2.056 -0.006 7.332
Rb Sm Ru O
1 2 1 8
Cartesian
0.000 0.000 0.000
2.396 2.675 2.240
4.202 2.506 5.092
1.028 -0.003 3.666
1.980 1.604 4.383
2.340 4.007 4.496
1.525 2.589 0.061
2.207 5.158 2.079
4.391 0.023 5.252
5.073 2.592 7.270
4.258 1.174 2.836
4.617 3.577 2.948
```

***

Simulated PXRD pattern of Rb3Sr3RuO8 for copper Kα, from the PBE geometry in Alexandria.
Lines closer than 0.1° are merged.

Most intense lines, 2θ = 10–90°, low angle first:
Position (°2θ)	Rel. int.
13.48	19
14.85	28
27.16	35
29.97	72
33.95	100
46.96	32
50.53	29
55.09	18
58.30	27
62.27	14

Structural model:
```
Rb3Sr3RuO8
1.0
3.613 2.086 6.567
-3.613 2.086 6.567
0.000 -4.171 6.567
Rb Sr Ru O
3 3 1 8
Cartesian
-1.806 -1.043 6.567
-1.806 1.043 13.133
0.000 2.086 6.567
-3.613 0.000 9.850
-1.806 1.043 3.283
1.806 1.043 3.283
0.000 0.000 9.850
0.000 0.000 4.534
-1.403 -0.810 10.944
0.000 -1.620 8.756
-1.403 0.810 8.756
1.403 -0.810 10.944
0.000 1.620 10.944
1.403 0.810 8.756
0.000 0.000 15.166
```

***

Simulated PXRD pattern of Rb2Ta3RuO12 for copper Kα, from the PBE geometry in Alexandria.
Lines closer than 0.1° are merged.

Most intense lines, 2θ = 10–90°, low angle first:
Position (°2θ)	Rel. int.
14.57	35
14.73	35
28.12	100
28.34	31
29.38	61
29.72	16
44.71	16
48.85	26
49.29	25
58.23	15

Structural model:
```
Rb2Ta3RuO12
1.0
3.729 2.153 6.012
-3.729 2.153 6.012
0.000 -4.306 6.012
Rb Ta Ru O
2 3 1 12
Cartesian
0.000 0.000 2.112
0.000 0.000 15.924
-1.864 -1.076 6.012
-1.864 1.076 12.024
0.000 2.153 6.012
0.000 0.000 9.018
0.000 -1.620 5.621
-1.403 0.810 5.621
-1.343 -0.775 7.923
-1.403 -0.810 12.416
0.000 -1.550 10.114
-1.343 0.775 10.114
1.343 -0.775 7.923
0.000 1.550 7.923
1.403 0.810 5.621
1.343 0.775 10.114
1.403 -0.810 12.416
0.000 1.620 12.416
```

***

Simulated PXRD pattern of RbTmRu2O8 for copper Kα, from the PBE geometry in Alexandria.
Lines closer than 0.1° are merged.

Most intense lines, 2θ = 10–90°, low angle first:
Position (°2θ)	Rel. int.
17.38	28
20.61	100
28.24	91
30.34	71
37.87	16
41.92	38
48.55	23
52.62	33
53.90	15
55.28	30

Structural model:
```
RbTmRu2O8
1.0
5.892 0.000 0.000
-2.946 5.103 0.000
0.000 0.000 8.050
Rb Tm Ru O
1 1 2 8
Cartesian
0.000 0.000 0.000
0.000 0.000 4.025
0.000 3.402 5.997
2.946 1.701 2.053
-0.226 1.715 5.397
-1.348 4.441 5.397
0.000 3.402 7.749
1.372 1.053 2.653
1.574 4.050 5.397
2.946 1.701 0.301
4.294 0.662 2.653
3.172 3.388 2.653
```

***

Simulated PXRD pattern of RbURuO6 for copper Kα, from the PBE geometry in Alexandria.
Lines closer than 0.1° are merged.

Most intense lines, 2θ = 10–90°, low angle first:
Position (°2θ)	Rel. int.
14.75	83
27.07	100
27.46	20
27.88	41
28.14	57
28.33	31
29.75	53
44.76	22
48.17	49
55.82	19

Structural model:
```
RbURuO6
1.0
-3.630 3.939 5.347
3.630 -3.939 5.347
3.630 3.939 -5.347
Rb U Ru O
2 2 2 12
Cartesian
0.000 1.970 1.208
3.630 1.970 4.139
3.630 0.000 0.000
0.000 0.000 5.347
1.815 1.970 -2.673
1.815 -1.970 2.673
3.630 -1.970 3.089
2.136 -0.564 1.310
5.124 -0.564 1.310
2.136 3.375 -1.310
1.494 -0.564 4.037
3.630 1.970 0.834
0.000 1.970 4.512
2.136 4.503 1.310
1.494 0.564 6.657
-1.494 4.503 4.037
1.494 4.503 4.037
0.000 5.909 2.258
```